Diffraction record for PmSmCuAg. The X-ray powder pattern is computed, not measured: it uses a cell relaxed with PBE and a wavelength of 1.5418 Å.
Kinematic intensities with the Lorentz-polarization factor, no thermal factor.

Largest 10 diffraction maxima, low angle first, 10° ≤ 2θ ≤ 90°:
d = 3.635 Å, I = 5
d = 2.574 Å, I = 100
d = 1.826 Å, I = 6
d = 1.818 Å, I = 12
d = 1.488 Å, I = 11
d = 1.485 Å, I = 23
d = 1.288 Å, I = 7
d = 1.285 Å, I = 4
d = 1.154 Å, I = 4
d = 1.150 Å, I = 10

Cell and atoms:
abc: 3.635 3.635 7.302
angles: 90.00 90.00 90.00
Space group P4mm (No. 99)
Inequivalent atoms, fractional coordinates:
Pm 0.000 0.000 0.000 x1
Sm 0.000 0.000 0.472 x1
Cu 0.500 0.500 0.240 x1
Ag 0.500 0.500 0.733 x1



Diffraction record for Nd2U2Ni15. The X-ray powder pattern is computed, not measured: it uses a cell relaxed with PBE and a wavelength of 1.5418 Å.
Kinematic intensities with the Lorentz-polarization factor, no thermal factor.

Largest 10 diffraction maxima, low angle first, 10° ≤ 2θ ≤ 90°:
d = 6.379 Å, I = 30
d = 4.253 Å, I = 30
d = 2.927 Å, I = 30
d = 2.455 Å, I = 51
d = 2.411 Å, I = 38
d = 2.126 Å, I = 100
d = 2.098 Å, I = 41
d = 1.902 Å, I = 41
d = 1.493 Å, I = 14
d = 1.228 Å, I = 29

Cell and atoms:
abc: 8.5054 8.5054 12.7595
angles: 90.00 90.00 120.00
Space group R-3m (No. 166, hexagonal axes)
Inequivalent atoms, fractional coordinates:
Nd 0.0000 0.0000 0.1436 x6
U 0.0000 0.0000 0.4024 x6
Ni 0.0000 0.3092 0.5000 x18
Ni 0.0000 0.5000 0.0000 x9
Ni 0.0007 0.5004 0.3418 x18